No. 1
Structure and simulated XRD peak list of Zn3Ga3Pb (a cell relaxed with GGA-PBE; λ = 1.5418 Å (Cu Kα)).

Structure:
Cell: 7.041 7.041 7.041 Å, 90.00 90.00 90.00°
Fractional coordinates of all 14 atoms:
Zn1 0.000 0.250 0.500
Zn2 0.000 0.750 0.500
Zn3 0.250 0.500 0.000
Zn4 0.500 0.000 0.250
Zn5 0.500 0.000 0.750
Zn6 0.750 0.500 0.000
Ga1 0.000 0.500 0.250
Ga2 0.000 0.500 0.750
Ga3 0.250 0.000 0.500
Ga4 0.500 0.250 0.000
Ga5 0.500 0.750 0.000
Ga6 0.750 0.000 0.500
Pb1 0.000 0.000 0.000
Pb2 0.500 0.500 0.500

The 6 most intense peaks (2θ = 10–90°), sorted by position:
d/Å, Position (°2θ), I (rel.), h k l
3.520, 25.30, 42, 2 0 0
2.874, 31.11, 100, 2 1 1
1.882, 48.37, 59, 3 2 1
1.760, 51.95, 20, 4 0 0
1.285, 73.70, 17, 5 2 1
1.142, 84.90, 18, 6 1 1

=====

No. 2
Structure and simulated XRD peak list of CaTbPd6 (a cell relaxed with GGA-PBE; λ = 1.5418 Å (Cu Kα)).

Structure:
Cell: 5.281 5.281 5.281 Å, 90.00 90.00 90.00°
Fractional coordinates of all 8 atoms:
Ca1 0.000 0.000 0.000
Tb1 0.500 0.500 0.500
Pd1 0.000 0.250 0.500
Pd2 0.000 0.750 0.500
Pd3 0.250 0.500 0.000
Pd4 0.500 0.000 0.250
Pd5 0.500 0.000 0.750
Pd6 0.750 0.500 0.000

The 6 most intense peaks (2θ = 10–90°), sorted by position:
d/Å, Position (°2θ), I (rel.), h k l
2.640, 33.95, 30, 2 0 0
2.362, 38.11, 100, 2 0 1
2.156, 41.91, 66, 2 1 1
1.465, 63.52, 22, 3 2 0
1.411, 66.22, 33, 3 2 1
1.152, 83.98, 20, 4 1 2